For BaLaCl5, a crystal structure in Alexandria, relaxed with PBE gives the simulated powder diffractogram in this record (a wavelength of 1.5418 Å).
Intensities are scaled so that the largest is 100.

Atomic structure:
```
BaLaCl5
1.0
9.3361 0.0000 0.0000
3.1127 10.1929 0.0000
3.3244 1.8048 12.7496
Ba La Cl
6 6 30
direct
0.2053 0.2519 0.1035
0.2389 0.8333 0.4446
0.2931 0.4599 0.7239
0.7069 0.5401 0.2761
0.7611 0.1667 0.5554
0.7947 0.7481 0.8965
0.2137 0.3231 0.4352
0.2615 0.6663 0.0802
0.2775 0.9820 0.7668
0.7225 0.0180 0.2332
0.7385 0.3337 0.9198
0.7863 0.6769 0.5648
0.0055 0.4066 0.6181
0.0102 0.5503 0.1114
0.0158 0.7210 0.6529
0.0361 0.8948 0.1526
0.1135 0.0703 0.5763
0.1297 0.7725 0.8859
0.2924 0.1738 0.8757
0.3238 0.4203 0.2223
0.3326 0.5208 0.4736
0.3577 0.0843 0.3095
0.3760 0.7331 0.2332
0.3774 0.4582 0.9459
0.3842 0.1976 0.6068
0.3917 0.7621 0.6433
0.4234 0.8462 0.9410
0.5766 0.1538 0.0590
0.6083 0.2379 0.3567
0.6158 0.8024 0.3932
0.6226 0.5418 0.0541
0.6240 0.2669 0.7668
0.6423 0.9157 0.6905
0.6674 0.4792 0.5264
0.6762 0.5797 0.7777
0.7076 0.8262 0.1243
0.8703 0.2275 0.1141
0.8865 0.9297 0.4237
0.9639 0.1052 0.8474
0.9842 0.2790 0.3471
0.9898 0.4497 0.8886
0.9945 0.5934 0.3819
```

Peak list (10 most intense, 15° ≤ 2θ ≤ 90°, low angle first)
two_theta, d/Å, intensity
20.32, 4.371, 56.2
20.84, 4.262, 100.0
21.30, 4.171, 50.2
23.50, 3.785, 27.6
23.67, 3.759, 24.6
33.59, 2.668, 49.4
34.01, 2.636, 31.7
35.27, 2.544, 26.2
35.35, 2.539, 30.3
40.27, 2.239, 20.9

=====

For Ba5La2Cl16, a crystal structure in Alexandria, relaxed with PBE gives the simulated powder diffractogram in this record (a wavelength of 1.5418 Å).
Intensities are scaled so that the largest is 100.

Atomic structure:
```
Ba5La2Cl16
1.0
4.9072 -8.2641 0.0000
4.9072 8.2641 0.0000
0.0000 0.0000 19.1107
Ba La Cl
10 4 32
direct
0.2500 0.2500 0.1004
0.2500 0.2500 0.6004
0.2500 0.7500 0.2500
0.2500 0.7500 0.5335
0.2500 0.7500 0.9665
0.7500 0.2500 0.0335
0.7500 0.2500 0.4665
0.7500 0.2500 0.7500
0.7500 0.7500 0.3996
0.7500 0.7500 0.8996
0.2500 0.2500 0.3557
0.2500 0.2500 0.8557
0.7500 0.7500 0.1443
0.7500 0.7500 0.6443
0.0109 0.6032 0.4096
0.0310 0.1899 0.9616
0.0803 0.8803 0.6392
0.0817 0.2765 0.7435
0.1032 0.5109 0.0904
0.1197 0.9197 0.8608
0.1899 0.0310 0.4616
0.2235 0.4183 0.2435
0.2765 0.0817 0.2435
0.3101 0.4690 0.4616
0.3803 0.5803 0.8608
0.3968 0.9891 0.0904
0.4183 0.2235 0.7435
0.4197 0.6197 0.6392
0.4690 0.3101 0.9616
0.4891 0.8968 0.4096
0.5109 0.1032 0.5904
0.5310 0.6899 0.0384
0.5803 0.3803 0.3608
0.5817 0.7765 0.2565
0.6032 0.0109 0.9096
0.6197 0.4197 0.1392
0.6899 0.5310 0.5384
0.7235 0.9183 0.7565
0.7765 0.5817 0.7565
0.8101 0.9690 0.5384
0.8803 0.0803 0.1392
0.8968 0.4891 0.9096
0.9183 0.7235 0.2565
0.9197 0.1197 0.3608
0.9690 0.8101 0.0384
0.9891 0.3968 0.5904
```

Peak list (10 most intense, 15° ≤ 2θ ≤ 90°, low angle first)
two_theta, d/Å, intensity
17.44, 5.084, 37.6
21.06, 4.219, 100.0
21.49, 4.135, 92.6
26.03, 3.423, 35.5
29.87, 2.991, 18.9
34.01, 2.636, 83.9
37.44, 2.402, 35.6
37.69, 2.387, 30.6
39.20, 2.298, 25.5
42.86, 2.110, 53.7

=====

For BaLaPCl, a crystal structure in Alexandria, relaxed with PBE gives the simulated powder diffractogram in this record (a wavelength of 1.5418 Å).
Intensities are scaled so that the largest is 100.

Atomic structure:
```
BaLaPCl
1.0
4.3126 0.0000 0.0000
-2.1563 3.7348 0.0000
0.0000 0.0000 23.3922
Ba La P Cl
3 3 3 3
direct
0.0000 0.0000 0.0000
0.3333 0.6667 0.6667
0.6667 0.3333 0.3333
0.0000 0.0000 0.8104
0.3333 0.6667 0.4771
0.6667 0.3333 0.1438
0.0000 0.0000 0.4144
0.3333 0.6667 0.0810
0.6667 0.3333 0.7477
0.0000 0.0000 0.2293
0.3333 0.6667 0.8959
0.6667 0.3333 0.5626
```

Peak list (10 most intense, 15° ≤ 2θ ≤ 90°, low angle first)
two_theta, d/Å, intensity
22.81, 3.899, 21.0
24.13, 3.688, 53.8
25.03, 3.558, 20.6
28.35, 3.148, 37.4
30.63, 2.919, 100.0
36.07, 2.490, 18.5
41.90, 2.156, 44.7
45.77, 1.982, 25.5
48.23, 1.887, 18.3
52.78, 1.734, 20.8

=====

For BaLiCl3, a crystal structure in Alexandria, relaxed with PBE gives the simulated powder diffractogram in this record (a wavelength of 1.5418 Å).
Intensities are scaled so that the largest is 100.

Atomic structure:
```
BaLiCl3
1.0
6.9405 0.0000 0.0000
0.0000 6.9405 0.0000
0.0000 0.0000 5.0850
Ba Li Cl
2 2 6
direct
0.0000 0.5000 0.0000
0.5000 0.0000 0.0000
0.0000 0.0000 0.5000
0.5000 0.5000 0.5000
0.0000 0.0000 0.0000
0.1930 0.3070 0.5000
0.3070 0.8070 0.5000
0.5000 0.5000 0.0000
0.6930 0.1930 0.5000
0.8070 0.6930 0.5000
```

Peak list (10 most intense, 15° ≤ 2θ ≤ 90°, low angle first)
two_theta, d/Å, intensity
17.44, 5.085, 16.4
18.08, 4.908, 37.5
25.22, 3.531, 29.4
25.67, 3.470, 24.1
31.20, 2.866, 100.0
35.30, 2.543, 22.4
36.62, 2.454, 30.7
44.99, 2.015, 23.2
51.78, 1.766, 21.4
62.58, 1.484, 15.4

=====

For BaLi2Cl4, a crystal structure in Alexandria, relaxed with PBE gives the simulated powder diffractogram in this record (a wavelength of 1.5418 Å).
Intensities are scaled so that the largest is 100.

Atomic structure:
```
BaLi2Cl4
1.0
-4.9103 4.9103 3.8463
4.9103 -4.9103 3.8463
4.9103 4.9103 -3.8463
Ba Li Cl
2 4 8
direct
0.0000 0.0000 0.0000
0.7500 0.2500 0.5000
0.3010 0.1250 0.6760
0.3750 0.6990 0.8240
0.4490 0.6250 0.3240
0.8750 0.5510 0.1760
0.0582 0.4025 0.2610
0.1415 0.7972 0.7390
0.1525 0.3082 0.7610
0.2028 0.9418 0.3443
0.5472 0.3915 0.2390
0.5975 0.8585 0.6557
0.6085 0.8475 0.1557
0.6918 0.4528 0.8443
```

Peak list (10 most intense, 15° ≤ 2θ ≤ 90°, low angle first)
two_theta, d/Å, intensity
18.07, 4.910, 100.0
23.32, 3.814, 60.1
26.49, 3.365, 66.4
29.50, 3.028, 38.1
29.66, 3.012, 84.6
34.95, 2.568, 83.2
36.21, 2.481, 42.4
36.60, 2.455, 32.6
37.21, 2.416, 78.5
47.79, 1.903, 31.5

=====

For BaLiNiCl6, a crystal structure in Alexandria, relaxed with PBE gives the simulated powder diffractogram in this record (a wavelength of 1.5418 Å).
Intensities are scaled so that the largest is 100.

Atomic structure:
```
BaLiNiCl6
1.0
6.3066 0.0000 0.0000
-2.7832 5.6860 0.0000
-0.1902 -0.2737 6.6144
Ba Li Ni Cl
1 1 1 6
direct
0.0000 0.0000 0.0000
0.3219 0.6811 0.5009
0.6681 0.3333 0.5017
0.3865 0.3576 0.3036
0.3971 0.0219 0.7309
0.6408 0.6112 0.7000
0.6429 0.0242 0.3105
0.9779 0.6071 0.2736
0.9799 0.3618 0.6936
```

Peak list (10 most intense, 15° ≤ 2θ ≤ 90°, low angle first)
two_theta, d/Å, intensity
15.63, 5.670, 48.7
20.19, 4.399, 100.0
21.07, 4.217, 92.4
21.33, 4.165, 78.4
30.58, 2.923, 30.7
31.15, 2.871, 63.0
37.29, 2.412, 42.8
39.90, 2.260, 31.5
40.07, 2.250, 30.8
43.03, 2.102, 23.8

=====

For Ba6Li2Si4ClO15, a crystal structure in Alexandria, relaxed with PBE gives the simulated powder diffractogram in this record (a wavelength of 1.5418 Å).
Intensities are scaled so that the largest is 100.

Atomic structure:
```
Ba6Li2Si4ClO15
1.0
5.7794 0.0000 0.0000
-2.8897 5.0051 0.0000
0.0000 0.0000 29.8025
Ba Li Si Cl O
12 4 8 2 30
direct
0.0000 0.0000 0.0000
0.0000 0.0000 0.1477
0.0000 0.0000 0.3523
0.0000 0.0000 0.5000
0.0000 0.0000 0.6477
0.0000 0.0000 0.8523
0.3333 0.6667 0.0840
0.3333 0.6667 0.4160
0.3333 0.6667 0.7500
0.6667 0.3333 0.2500
0.6667 0.3333 0.5840
0.6667 0.3333 0.9160
0.3333 0.6667 0.6469
0.3333 0.6667 0.8531
0.6667 0.3333 0.1469
0.6667 0.3333 0.3531
0.3333 0.6667 0.1939
0.3333 0.6667 0.3061
0.3333 0.6667 0.5565
0.3333 0.6667 0.9435
0.6667 0.3333 0.0565
0.6667 0.3333 0.4435
0.6667 0.3333 0.6939
0.6667 0.3333 0.8061
0.0000 0.0000 0.2500
0.0000 0.0000 0.7500
0.0252 0.5126 0.1746
0.0252 0.5126 0.3254
0.1794 0.3587 0.5764
0.1794 0.3587 0.9236
0.1794 0.8206 0.5764
0.1794 0.8206 0.9236
0.3333 0.6667 0.2500
0.3333 0.6667 0.5016
0.3333 0.6667 0.9984
0.3587 0.1794 0.0764
0.3587 0.1794 0.4236
0.4874 0.5126 0.1746
0.4874 0.5126 0.3254
0.4874 0.9748 0.1746
0.4874 0.9748 0.3254
0.5126 0.0252 0.6746
0.5126 0.0252 0.8254
0.5126 0.4874 0.6746
0.5126 0.4874 0.8254
0.6413 0.8206 0.5764
0.6413 0.8206 0.9236
0.6667 0.3333 0.0016
0.6667 0.3333 0.4984
0.6667 0.3333 0.7500
0.8206 0.1794 0.0764
0.8206 0.1794 0.4236
0.8206 0.6413 0.0764
0.8206 0.6413 0.4236
0.9748 0.4874 0.6746
0.9748 0.4874 0.8254
```

Peak list (10 most intense, 15° ≤ 2θ ≤ 90°, low angle first)
two_theta, d/Å, intensity
19.86, 4.470, 29.7
25.26, 3.526, 72.2
29.90, 2.988, 26.7
30.95, 2.890, 100.0
32.42, 2.762, 25.6
40.36, 2.235, 41.4
48.32, 1.883, 19.0
51.71, 1.768, 19.4
55.04, 1.668, 18.8
64.49, 1.445, 17.2